For AcAg2MoO6, DFT lattice parameters and positions (PBE+U) gives the theoretical powder X-ray diffraction pattern in this record (Cu Ka).
No peak broadening, texture or thermal motion is included.

Atomic structure:
```
AcAg2MoO6
1.0
5.8761 0.0000 0.0000
2.9376 5.0918 0.0000
2.9338 1.6901 5.0249
Ac Ag Mo O
1 2 1 6
direct
0.0000 0.0000 0.0000
0.2513 0.2503 0.2475
0.7165 0.7163 0.8503
0.4997 0.4994 0.5011
0.1736 0.7289 0.6807
0.3274 0.5951 0.2243
0.4165 0.1742 0.6820
0.5955 0.8527 0.2229
0.7276 0.4183 0.6816
0.8526 0.3272 0.2251
```

Main lines, low angle first (2θ from 10° to 90°):
2theta, intensity, h k l
29.49, 100, 1 1 2
30.42, 93, 2 1 1
35.38, 22, 2 1 0
42.88, 40, 2 2 0
53.47, 40, 3 2 3
54.05, 25, 3 3 2